(1)
CaTlSeClO: simulated X-ray diffraction stick pattern (Cu Kα), based on a DFT-relaxed cell (PBE, Alexandria).

Top 6 peaks for 10° ≤ 2θ ≤ 80°, in order of rising 2θ:
d (Å)  I/Imax
4.480  46
3.479  100
3.118  84
2.931  67
2.598  71
2.026  77

Cell and atoms:
```
CaTlSeClO
1.0
7.0190 0.0000 0.0000
0.0000 4.0518 0.0000
-2.2359 0.0000 8.9597
Ca Tl Se Cl O
2 2 2 2 2
Cartesian
0.0000 0.0000 0.0000
3.5095 2.0259 0.0000
0.1676 0.0000 4.3726
3.6771 2.0259 4.3726
2.5095 0.0000 2.5504
6.0190 2.0259 2.5504
-1.0593 2.0259 7.3282
2.4502 0.0000 7.3282
2.3372 0.0000 0.6835
5.8467 2.0259 0.6835
```



(2)
Cd4Au: simulated X-ray diffraction stick pattern (Cu Kα), based on a DFT-relaxed cell (PBE, Alexandria).

Top 6 peaks for 10° ≤ 2θ ≤ 80°, in order of rising 2θ:
d (Å)  I/Imax
2.654  100
2.418  38
2.410  38
2.278  65
2.034  25
1.418  28

Cell and atoms:
```
Cd4Au
1.0
9.8884 0.0000 0.0000
0.0000 3.5030 0.0000
-3.7820 0.0000 6.1684
Cd Au
8 2
Cartesian
-0.5599 0.0000 2.3783
-0.9791 1.7515 4.9802
2.1413 0.0000 1.1882
1.7221 1.7515 3.7901
4.3843 1.7515 2.3783
3.9651 0.0000 4.9802
7.0855 1.7515 1.1882
6.6663 0.0000 3.7901
0.0000 1.7515 0.0000
4.9442 0.0000 0.0000
```



(3)
Pm6CdGe5: simulated X-ray diffraction stick pattern (Cu Kα), based on a DFT-relaxed cell (PBE, Alexandria).

Top 6 peaks for 10° ≤ 2θ ≤ 80°, in order of rising 2θ:
d (Å)  I/Imax
3.046  100
2.202  13
2.185  25
2.125  24
2.106  11
1.785  13

Cell and atoms:
```
Pm6CdGe5
1.0
3.7738 -6.6065 0.0000
3.7738 6.6065 0.0000
-2.5776 0.0000 6.8098
Pm Cd Ge
6 1 5
Cartesian
-0.1307 2.3510 4.9919
1.0818 0.0000 1.7613
-0.1307 -2.3510 4.9919
5.1007 2.3510 1.8179
3.8882 0.0000 5.0484
5.1007 -2.3510 1.8179
3.7738 0.0000 0.0000
-1.2888 0.0000 3.4049
3.7738 4.3927 0.0000
2.4850 2.0334 3.4049
2.4850 -2.0334 3.4049
3.7738 -4.3927 0.0000
```



(4)
PmMg14Sc: simulated X-ray diffraction stick pattern (Cu Kα), based on a DFT-relaxed cell (PBE, Alexandria).

Top 6 peaks for 10° ≤ 2θ ≤ 80°, in order of rising 2θ:
d (Å)  I/Imax
7.947  20
4.156  22
2.604  100
2.438  46
1.540  22
1.437  29

Cell and atoms:
```
PmMg14Sc
1.0
6.8948 0.0000 0.0000
0.0000 6.8948 0.0000
0.0000 0.0000 7.9466
Pm Mg Sc
1 14 1
Cartesian
0.0000 0.0000 0.0000
0.0000 0.0000 3.9733
0.0000 3.4474 0.0000
0.0000 3.4474 3.9733
1.7659 1.7659 2.0448
1.7659 1.7659 5.9018
1.7659 5.1289 2.0448
1.7659 5.1289 5.9018
3.4474 0.0000 0.0000
3.4474 0.0000 3.9733
3.4474 3.4474 3.9733
5.1289 1.7659 2.0448
5.1289 1.7659 5.9018
5.1289 5.1289 2.0448
5.1289 5.1289 5.9018
3.4474 3.4474 0.0000
```